# 1
Starting from DFT lattice parameters and positions (GGA-PBE), the XRD peak list of Hf8FeTe6 was computed for Cu Kα (λ = 1.5418 Å).
Lines closer than 0.1° are merged.

```
data_Hf8FeTe6
_space_group_name_H-M_alt 'P 1'
_space_group_IT_number 1
_space_group_name_Hall 'P 1'
_cell_length_a 3.738
_cell_length_b 26.067
_cell_length_c 7.691
_cell_angle_alpha 90.00
_cell_angle_beta 90.00
_cell_angle_gamma 90.00
loop_
_atom_site_label
_atom_site_fract_x
_atom_site_fract_y
_atom_site_fract_z
Hf1 0.250 0.052 0.059
Hf2 0.250 0.184 0.261
Hf3 0.250 0.250 0.928
Hf4 0.250 0.316 0.261
Hf5 0.250 0.448 0.059
Hf6 0.250 0.651 0.056
Hf7 0.250 0.750 0.457
Hf8 0.250 0.849 0.056
Hf9 0.750 0.151 0.944
Hf10 0.750 0.250 0.543
Hf11 0.750 0.349 0.944
Hf12 0.750 0.552 0.941
Hf13 0.750 0.684 0.739
Hf14 0.750 0.750 0.072
Hf15 0.750 0.816 0.739
Hf16 0.750 0.948 0.941
Fe1 0.250 0.750 0.802
Fe2 0.750 0.250 0.198
Te1 0.250 0.168 0.650
Te2 0.250 0.332 0.650
Te3 0.250 0.548 0.222
Te4 0.250 0.595 0.700
Te5 0.250 0.905 0.700
Te6 0.250 0.952 0.222
Te7 0.750 0.048 0.778
Te8 0.750 0.095 0.300
Te9 0.750 0.405 0.300
Te10 0.750 0.452 0.778
Te11 0.750 0.668 0.350
Te12 0.750 0.832 0.350
```

Main lines, most intense first (2θ from 10° to 80°):
- 2θ = 31.67°, I = 100
- 2θ = 37.73°, I = 65
- 2θ = 11.51°, I = 49
- 2θ = 48.72°, I = 34
- 2θ = 35.03°, I = 32
- 2θ = 35.17°, I = 26
- 2θ = 33.98°, I = 21
- 2θ = 13.37°, I = 21
- 2θ = 33.05°, I = 20
- 2θ = 36.24°, I = 19

# 2
Starting from DFT lattice parameters and positions (GGA-PBE), the XRD peak list of TaHS was computed for Cu Kα (λ = 1.5418 Å).
Lines closer than 0.1° are merged.

```
data_TaHS
_space_group_name_H-M_alt 'P 1'
_space_group_IT_number 1
_space_group_name_Hall 'P 1'
_cell_length_a 3.172
_cell_length_b 4.663
_cell_length_c 5.071
_cell_angle_alpha 90.00
_cell_angle_beta 90.00
_cell_angle_gamma 90.00
loop_
_atom_site_label
_atom_site_fract_x
_atom_site_fract_y
_atom_site_fract_z
Ta1 0.000 0.113 0.000
Ta2 0.500 0.887 0.500
H1 0.000 0.116 0.379
H2 0.500 0.884 0.879
S1 0.000 0.628 0.207
S2 0.500 0.372 0.707
```

Main lines, most intense first (2θ from 10° to 80°):
- 2θ = 33.32°, I = 100
- 2θ = 19.03°, I = 69
- 2θ = 25.96°, I = 66
- 2θ = 38.65°, I = 64
- 2θ = 42.69°, I = 50
- 2θ = 48.46°, I = 43
- 2θ = 40.50°, I = 39
- 2θ = 50.04°, I = 33
- 2θ = 35.40°, I = 27
- 2θ = 34.19°, I = 23

# 3
Starting from DFT lattice parameters and positions (GGA-PBE), the XRD peak list of Mg2Cr3InS8 was computed for Cu Kα (λ = 1.5418 Å).
Lines closer than 0.1° are merged.

```
data_Mg2Cr3InS8
_space_group_name_H-M_alt 'P 1'
_space_group_IT_number 1
_space_group_name_Hall 'P 1'
_cell_length_a 7.379
_cell_length_b 7.379
_cell_length_c 7.379
_cell_angle_alpha 59.20
_cell_angle_beta 59.20
_cell_angle_gamma 59.20
loop_
_atom_site_label
_atom_site_fract_x
_atom_site_fract_y
_atom_site_fract_z
Mg1 0.125 0.125 0.125
Mg2 0.875 0.875 0.875
Cr1 0.000 0.500 0.500
Cr2 0.500 0.000 0.500
Cr3 0.500 0.500 0.000
In1 0.500 0.500 0.500
S1 0.250 0.250 0.716
S2 0.250 0.716 0.250
S3 0.263 0.263 0.263
S4 0.284 0.750 0.750
S5 0.716 0.250 0.250
S6 0.737 0.737 0.737
S7 0.750 0.284 0.750
S8 0.750 0.750 0.284
```

Main lines, most intense first (2θ from 10° to 80°):
- 2θ = 34.60°, I = 100
- 2θ = 14.85°, I = 85
- 2θ = 28.58°, I = 62
- 2θ = 50.05°, I = 48
- 2θ = 49.41°, I = 44
- 2θ = 28.32°, I = 28
- 2θ = 45.47°, I = 24
- 2θ = 45.64°, I = 18
- 2θ = 24.42°, I = 15
- 2θ = 62.27°, I = 15

What did the first record say?
Starting from DFT lattice parameters and positions (GGA-PBE), the XRD peak list of Hf8FeTe6 was computed for Cu Kα (λ = 1.5418 Å).
Lines closer than 0.1° are merged.

```
data_Hf8FeTe6
_space_group_name_H-M_alt 'P 1'
_space_group_IT_number 1
_space_group_name_Hall 'P 1'
_cell_length_a 3.738
_cell_length_b 26.067
_cell_length_c 7.691
_cell_angle_alpha 90.00
_cell_angle_beta 90.00
_cell_angle_gamma 90.00
loop_
_atom_site_label
_atom_site_fract_x
_atom_site_fract_y
_atom_site_fract_z
Hf1 0.250 0.052 0.059
Hf2 0.250 0.184 0.261
Hf3 0.250 0.250 0.928
Hf4 0.250 0.316 0.261
Hf5 0.250 0.448 0.059
Hf6 0.250 0.651 0.056
Hf7 0.250 0.750 0.457
Hf8 0.250 0.849 0.056
Hf9 0.750 0.151 0.944
Hf10 0.750 0.250 0.543
Hf11 0.750 0.349 0.944
Hf12 0.750 0.552 0.941
Hf13 0.750 0.684 0.739
Hf14 0.750 0.750 0.072
Hf15 0.750 0.816 0.739
Hf16 0.750 0.948 0.941
Fe1 0.250 0.750 0.802
Fe2 0.750 0.250 0.198
Te1 0.250 0.168 0.650
Te2 0.250 0.332 0.650
Te3 0.250 0.548 0.222
Te4 0.250 0.595 0.700
Te5 0.250 0.905 0.700
Te6 0.250 0.952 0.222
Te7 0.750 0.048 0.778
Te8 0.750 0.095 0.300
Te9 0.750 0.405 0.300
Te10 0.750 0.452 0.778
Te11 0.750 0.668 0.350
Te12 0.750 0.832 0.350
```

Main lines, most intense first (2θ from 10° to 80°):
- 2θ = 31.67°, I = 100
- 2θ = 37.73°, I = 65
- 2θ = 11.51°, I = 49
- 2θ = 48.72°, I = 34
- 2θ = 35.03°, I = 32
- 2θ = 35.17°, I = 26
- 2θ = 33.98°, I = 21
- 2θ = 13.37°, I = 21
- 2θ = 33.05°, I = 20
- 2θ = 36.24°, I = 19